Diffraction record for Ba2TlPd4Pb. The XRD peak list is theoretical, not measured: it uses a DFT-relaxed cell (PBE, OQMD) and Cu Kα, 1.54184 Å.

The 6 most intense peaks (2θ = 10–80°), in order of falling intensity:
d 2.392, I = 100
d 2.692, I = 65
d 5.311, I = 50
d 3.267, I = 49
d 1.777, I = 43
d 2.181, I = 31

Structural model:
Unit cell a=4.7838 b=4.7838 c=10.6227 alpha=90.00 beta=90.00 gamma=120.00
Space group P-3m1 (No. 164)
Inequivalent atoms, fractional coordinates:
Ba  0.3333  0.6667  0.2495
Tl  0.0000  0.0000  0.0000
Pd  0.3333  0.6667  0.5519
Pd  0.3333  0.6667  0.9513
Pb  0.0000  0.0000  0.5000